# 1
Starting from the PBE geometry in Alexandria, the powder diffractogram of Pr4Y3Te8 was computed for Cu Ka.

The 6 most intense peaks (10° ≤ 2θ ≤ 90°), by angle:
| d (Å) | 2θ (°) | Rel. int. | index |
| --- | --- | --- | --- |
| 4.398 | 20.19 | 31 | 1 1 0 |
| 3.240 | 27.53 | 100 | 0 2 4 |
| 2.585 | 34.70 | 28 | 0 2 7 |
| 2.395 | 37.56 | 71 | 2 0 8 |
| 2.199 | 41.04 | 71 | 2 2 0 |
| 1.501 | 61.81 | 26 | 2 2 12 |

Atomic structure:
abc: 8.7968 8.7968 24.6357
angles: 90.00 90.00 120.00
Space group R-3m (No. 166, hexagonal axes)
Inequivalent atoms, fractional coordinates:
Pr1 0.0000 0.0000 0.0000 (multiplicity 3)
Pr2 0.0000 0.0000 0.1428 (multiplicity 6)
Pr3 0.0000 0.0000 0.5000 (multiplicity 3)
Y1 0.0000 0.5000 0.0000 (multiplicity 9)
Te1 0.0000 0.0000 0.2675 (multiplicity 6)
Te2 0.0124 0.5062 0.2552 (multiplicity 18)

---

# 2
Starting from the PBE geometry in Alexandria, the powder diffractogram of PrY3Te4 was computed for Cu Ka.

The 6 most intense peaks (10° ≤ 2θ ≤ 90°), by angle:
| d (Å) | 2θ (°) | Rel. int. | index |
| --- | --- | --- | --- |
| 3.176 | 28.09 | 98 | 1 0 5 |
| 2.994 | 29.85 | 100 | 1 0 6 |
| 2.330 | 38.64 | 27 | 1 0 10 |
| 2.193 | 41.17 | 38 | 1 0 11 |
| 2.171 | 41.61 | 77 | 1 1 0 |
| 1.410 | 66.26 | 34 | 1 1 16 |

Atomic structure:
abc: 4.3411 4.3411 29.6904
angles: 90.00 90.00 120.00
Space group P6_3/mmc (No. 194)
Inequivalent atoms, fractional coordinates:
Pr1 0.3333 0.6667 0.2500 (multiplicity 2)
Y1 0.0000 0.0000 0.0000 (multiplicity 2)
Y2 0.3333 0.6667 0.6215 (multiplicity 4)
Te1 0.0000 0.0000 0.1819 (multiplicity 4)
Te2 0.3333 0.6667 0.0609 (multiplicity 4)

---

# 3
Starting from the PBE geometry in Alexandria, the powder diffractogram of Pr5ZnTe2 was computed for Cu Ka.

The 6 most intense peaks (10° ≤ 2θ ≤ 90°), by angle:
| d (Å) | 2θ (°) | Rel. int. | index |
| --- | --- | --- | --- |
| 3.718 | 23.93 | 58 | 0 2 3 |
| 3.111 | 28.70 | 93 | 2 0 0 |
| 2.888 | 30.96 | 40 | 1 1 4 |
| 2.812 | 31.82 | 100 | 1 3 3 |
| 2.671 | 33.55 | 37 | 0 4 3 |
| 1.818 | 50.17 | 42 | 2 0 6 |

Atomic structure:
abc: 6.222 13.300 13.454
angles: 90.00 90.00 90.00
Space group Cmcm (No. 63)
Inequivalent atoms, fractional coordinates:
Pr1 0.000 0.053 0.112 (multiplicity 8)
Pr2 0.000 0.361 0.750 (multiplicity 4)
Pr3 0.000 0.374 0.067 (multiplicity 8)
Zn1 0.000 0.233 0.250 (multiplicity 4)
Te1 0.000 0.185 0.588 (multiplicity 8)

---

# 4
Starting from the PBE geometry in Alexandria, the powder diffractogram of PrZrTe3 was computed for Cu Ka.

The 6 most intense peaks (10° ≤ 2θ ≤ 90°), by angle:
| d (Å) | 2θ (°) | Rel. int. | index |
| --- | --- | --- | --- |
| 3.094 | 28.86 | 91 | 3 1 1 |
| 3.056 | 29.22 | 70 | 1 1 2 |
| 3.047 | 29.31 | 42 | 4 0 -2 |
| 2.688 | 33.33 | 100 | 3 1 2 |
| 2.563 | 35.01 | 45 | 6 0 -1 |
| 2.267 | 39.76 | 41 | 3 1 -3 |

Atomic structure:
abc: 15.975 4.157 9.407
angles: 90.00 90.14 90.00
Space group C2/m (No. 12)
Inequivalent atoms, fractional coordinates:
Pr1 0.104 0.000 0.095 (multiplicity 4)
Zr1 0.200 0.500 0.631 (multiplicity 4)
Te1 0.049 0.500 0.828 (multiplicity 4)
Te2 0.124 0.000 0.453 (multiplicity 4)
Te3 0.247 0.000 0.841 (multiplicity 4)